# 1
Structure and simulated powder X-ray diffraction pattern of Ac6Bi2Te3Se (a PBE-relaxed structure; Cu Kα (weighted mean of Kα1 and Kα2)).
Lines closer than 0.1° are merged.

Structure:
a b c (Å): 10.620 10.620 9.493
angles (deg): 103.12 103.12 25.80
Fractional coordinates of all 12 atoms:
Ac1 0.002 0.002 0.270
Ac2 0.334 0.334 0.917
Ac3 0.343 0.343 0.422
Ac4 0.657 0.657 0.578
Ac5 0.666 0.666 0.083
Ac6 0.998 0.998 0.730
Bi1 0.165 0.165 0.832
Bi2 0.835 0.835 0.168
Te1 0.171 0.171 0.335
Te2 0.500 0.500 0.000
Te3 0.829 0.829 0.665
Se1 0.500 0.500 0.500

Peak list (10 most intense, 2θ from 10° to 90°, low angle first)
- 2θ 22.96, I 7.7
- 2θ 26.57, I 100.0
- 2θ 37.90, I 52.5
- 2θ 37.98, I 25.5
- 2θ 46.94, I 21.2
- 2θ 54.72, I 13.3
- 2θ 61.78, I 18.2
- 2θ 61.89, I 18.2
- 2θ 68.54, I 17.9
- 2θ 87.26, I 8.0


# 2
Structure and simulated powder X-ray diffraction pattern of Ac5Sm3Bi8 (a PBE-relaxed structure; Cu Kα (weighted mean of Kα1 and Kα2)).
Lines closer than 0.1° are merged.

Structure:
a b c (Å): 9.524 9.524 9.524
angles (deg): 60.04 60.04 60.04
Fractional coordinates of all 16 atoms:
Ac1 0.000 0.000 0.000
Ac2 0.000 0.500 0.500
Ac3 0.500 0.000 0.500
Ac4 0.500 0.500 0.000
Ac5 0.500 0.500 0.500
Sm1 0.000 0.000 0.500
Sm2 0.000 0.500 0.000
Sm3 0.500 0.000 0.000
Bi1 0.238 0.750 0.750
Bi2 0.244 0.244 0.244
Bi3 0.250 0.250 0.762
Bi4 0.250 0.762 0.250
Bi5 0.750 0.238 0.750
Bi6 0.750 0.750 0.238
Bi7 0.756 0.756 0.756
Bi8 0.762 0.250 0.250

Peak list (10 most intense, 2θ from 10° to 90°, low angle first)
- 2θ 26.46, I 100.0
- 2θ 28.89, I 2.0
- 2θ 37.77, I 79.4
- 2θ 46.71, I 29.1
- 2θ 52.15, I 1.7
- 2θ 54.48, I 13.8
- 2θ 61.56, I 38.3
- 2θ 68.20, I 28.2
- 2θ 80.68, I 8.9
- 2θ 86.72, I 19.0


# 3
Structure and simulated powder X-ray diffraction pattern of AcSm4Bi5 (a PBE-relaxed structure; Cu Kα (weighted mean of Kα1 and Kα2)).
Lines closer than 0.1° are merged.

Structure:
a b c (Å): 12.239 12.239 12.239
angles (deg): 158.24 148.93 38.25
Fractional coordinates of all 10 atoms:
Ac1 0.000 0.000 0.000
Sm1 0.203 0.203 0.000
Sm2 0.399 0.399 0.000
Sm3 0.601 0.601 0.000
Sm4 0.797 0.797 0.000
Bi1 0.107 0.607 0.500
Bi2 0.301 0.801 0.500
Bi3 0.500 0.000 0.500
Bi4 0.699 0.199 0.500
Bi5 0.893 0.393 0.500

Peak list (10 most intense, 2θ from 10° to 90°, low angle first)
- 2θ 27.25, I 100.0
- 2θ 38.93, I 78.5
- 2θ 48.17, I 28.5
- 2θ 56.28, I 8.8
- 2θ 63.50, I 12.8
- 2θ 63.63, I 24.4
- 2θ 70.46, I 18.0
- 2θ 70.55, I 9.4
- 2θ 83.55, I 7.2
- 2θ 89.93, I 12.5